For CoIN2O, a structure optimized by DFT (GGA+U) gives the computed X-ray diffraction stick pattern in this record (Cu Ka).
Neutral-atom scattering factors, no anomalous dispersion.

Main lines, by angle (2θ from 10° to 80°):
(1 0 0), d = 3.787 Å, intensity 8; (1 0 1), d = 2.688 Å, intensity 100; (1 1 0), d = 2.678 Å, intensity 53; (1 1 1), d = 2.192 Å, intensity 21; (0 0 2), d = 1.908 Å, intensity 16; (2 0 0), d = 1.894 Å, intensity 31; (1 1 2), d = 1.554 Å, intensity 20; (2 1 1), d = 1.548 Å, intensity 37; (2 0 2), d = 1.344 Å, intensity 18; (2 2 0), d = 1.339 Å, intensity 9

Structure:
Unit cell a=3.787 b=3.787 c=3.817 alpha=90.00 beta=90.00 gamma=90.00
Space group P4/mmm (No. 123)
One atom of each set of equivalent atoms:
Co (0.000, 0.000, 0.000)
I (0.500, 0.500, 0.500)
N (0.000, 0.500, 0.000)
O (0.000, 0.000, 0.500)